1.
Structure and calculated PXRD pattern of Ta14Co (a crystal structure in OQMD, relaxed with PBE; λ = 1.5418 Å (Cu Kα)).
Kinematic intensities with the Lorentz-polarization factor, no thermal factor.

Cell and atoms:
```
Ta14Co
1.0
10.077 0.000 0.000
0.000 10.077 0.000
0.000 0.000 5.324
Ta Co
28 2
direct
0.035 0.370 0.000 Ta
0.064 0.253 0.500 Ta
0.101 0.101 0.000 Ta
0.130 0.535 0.500 Ta
0.183 0.817 0.248 Ta
0.183 0.817 0.752 Ta
0.247 0.564 0.000 Ta
0.253 0.064 0.500 Ta
0.317 0.317 0.252 Ta
0.317 0.317 0.748 Ta
0.370 0.035 0.000 Ta
0.399 0.601 0.500 Ta
0.436 0.753 0.000 Ta
0.465 0.870 0.500 Ta
0.535 0.130 0.500 Ta
0.564 0.247 0.000 Ta
0.601 0.399 0.500 Ta
0.630 0.965 0.000 Ta
0.683 0.683 0.252 Ta
0.683 0.683 0.748 Ta
0.747 0.936 0.500 Ta
0.753 0.436 0.000 Ta
0.817 0.183 0.248 Ta
0.817 0.183 0.752 Ta
0.870 0.465 0.500 Ta
0.899 0.899 0.000 Ta
0.936 0.747 0.500 Ta
0.965 0.630 0.000 Ta
0.000 0.000 0.500 Co
0.500 0.500 0.000 Co
```

Main lines, in order of rising 2θ (10° ≤ 2θ ≤ 80°):
- 33.7°, I 21
- 36.8°, I 94
- 37.9°, I 34
- 38.2°, I 32
- 39.3°, I 82
- 40.6°, I 100
- 41.6°, I 59
- 42.4°, I 20
- 64.3°, I 22
- 64.9°, I 25
- 65.7°, I 31
- 67.7°, I 21



2.
Structure and calculated PXRD pattern of Ta9Co4 (a crystal structure in OQMD, relaxed with PBE; λ = 1.5418 Å (Cu Kα)).
Kinematic intensities with the Lorentz-polarization factor, no thermal factor.

Cell and atoms:
```
Ta9Co4
1.0
2.683 1.549 8.714
-2.683 1.549 8.714
0.000 -3.098 8.714
Ta Co
9 4
direct
0.000 0.000 0.000 Ta
0.081 0.081 0.577 Ta
0.081 0.577 0.081 Ta
0.351 0.351 0.351 Ta
0.423 0.919 0.919 Ta
0.577 0.081 0.081 Ta
0.649 0.649 0.649 Ta
0.919 0.423 0.919 Ta
0.919 0.919 0.423 Ta
0.168 0.168 0.168 Co
0.455 0.455 0.455 Co
0.545 0.545 0.545 Co
0.832 0.832 0.832 Co
```

Main lines, in order of rising 2θ (10° ≤ 2θ ≤ 80°):
- 10.2°, I 20
- 20.4°, I 20
- 30.7°, I 23
- 38.9°, I 51
- 39.4°, I 100
- 41.5°, I 22
- 42.6°, I 45
- 42.7°, I 26
- 46.0°, I 31
- 63.8°, I 22
- 70.1°, I 29
- 73.9°, I 15



3.
Structure and calculated PXRD pattern of Ta5Co7 (a crystal structure in OQMD, relaxed with PBE; λ = 1.5418 Å (Cu Kα)).
Kinematic intensities with the Lorentz-polarization factor, no thermal factor.

Cell and atoms:
```
Ta5Co7
1.0
4.977 0.000 0.000
-2.488 4.310 0.000
0.000 0.000 15.879
Ta Co
10 14
direct
0.000 0.000 0.086 Ta
0.000 0.000 0.414 Ta
0.000 0.000 0.586 Ta
0.000 0.000 0.914 Ta
0.166 0.331 0.250 Ta
0.166 0.834 0.250 Ta
0.331 0.166 0.750 Ta
0.669 0.834 0.250 Ta
0.834 0.166 0.750 Ta
0.834 0.669 0.750 Ta
0.000 0.500 0.000 Co
0.000 0.500 0.500 Co
0.333 0.667 0.116 Co
0.333 0.667 0.384 Co
0.333 0.667 0.654 Co
0.333 0.667 0.846 Co
0.500 0.000 0.000 Co
0.500 0.000 0.500 Co
0.500 0.500 0.000 Co
0.500 0.500 0.500 Co
0.667 0.333 0.154 Co
0.667 0.333 0.346 Co
0.667 0.333 0.616 Co
0.667 0.333 0.884 Co
```

Main lines, in order of rising 2θ (10° ≤ 2θ ≤ 80°):
- 11.1°, I 43
- 20.6°, I 52
- 21.4°, I 26
- 33.9°, I 30
- 36.1°, I 25
- 40.0°, I 86
- 42.3°, I 57
- 42.9°, I 100
- 43.5°, I 91
- 45.4°, I 55
- 67.5°, I 35
- 76.6°, I 36



4.
Structure and calculated PXRD pattern of Ta3Co10 (a crystal structure in OQMD, relaxed with PBE; λ = 1.5418 Å (Cu Kα)).
Kinematic intensities with the Lorentz-polarization factor, no thermal factor.

Cell and atoms:
```
Ta3Co10
1.0
2.356 1.360 8.534
-2.356 1.360 8.534
0.000 -2.721 8.534
Ta Co
3 10
direct
0.000 0.000 0.000 Ta
0.448 0.448 0.448 Ta
0.552 0.552 0.552 Ta
0.093 0.093 0.578 Co
0.093 0.578 0.093 Co
0.164 0.164 0.164 Co
0.347 0.347 0.347 Co
0.422 0.907 0.907 Co
0.578 0.093 0.093 Co
0.653 0.653 0.653 Co
0.836 0.836 0.836 Co
0.907 0.422 0.907 Co
0.907 0.907 0.422 Co
```

Main lines, in order of rising 2θ (10° ≤ 2θ ≤ 80°):
- 22.9°, I 70
- 32.9°, I 30
- 38.2°, I 100
- 41.6°, I 41
- 43.9°, I 47
- 44.5°, I 34
- 44.8°, I 72
- 45.0°, I 40
- 48.0°, I 40
- 50.3°, I 59
- 51.3°, I 42
- 73.7°, I 33